This entry pairs a crystal structure of CdNF3 with its theoretical powder diffraction line list. Radiation: copper Kα. Structure: a PBE-relaxed structure.

Largest 6 diffraction maxima, in order of falling intensity, 15° ≤ 2θ ≤ 90°:
- 20.10 deg, d = 4.418 Å, I = 100
- 29.23 deg, d = 3.055 Å, I = 73
- 21.03 deg, d = 4.225 Å, I = 44
- 47.72 deg, d = 1.906 Å, I = 22
- 40.86 deg, d = 2.209 Å, I = 22
- 45.11 deg, d = 2.010 Å, I = 22

```
CdNF3
1.0
6.384 0.000 0.000
0.000 8.450 0.000
0.000 0.000 6.119
Cd N F
4 4 12
direct
0.000 0.000 0.000 Cd
0.000 0.500 0.000 Cd
0.500 0.000 0.500 Cd
0.500 0.500 0.500 Cd
0.125 0.250 0.380 N
0.375 0.750 0.880 N
0.625 0.250 0.120 N
0.875 0.750 0.620 N
0.025 0.250 0.930 F
0.169 0.046 0.339 F
0.169 0.454 0.339 F
0.331 0.546 0.839 F
0.331 0.954 0.839 F
0.475 0.750 0.430 F
0.525 0.250 0.570 F
0.669 0.046 0.161 F
0.669 0.454 0.161 F
0.831 0.546 0.661 F
0.831 0.954 0.661 F
0.975 0.750 0.070 F
```

***

This entry pairs a crystal structure of Ca2Ga2SiH2O8 with its theoretical powder diffraction line list. Radiation: copper Kα. Structure: a PBE-relaxed structure.

Largest 6 diffraction maxima, in order of falling intensity, 15° ≤ 2θ ≤ 90°:
- 24.12 deg, d = 3.690 Å, I = 100
- 31.31 deg, d = 2.857 Å, I = 99
- 57.71 deg, d = 1.597 Å, I = 63
- 34.38 deg, d = 2.609 Å, I = 61
- 37.24 deg, d = 2.415 Å, I = 40
- 42.41 deg, d = 2.131 Å, I = 27

```
Ca2Ga2SiH2O8
1.0
-4.522 4.522 4.510
4.522 -4.522 4.510
4.522 4.522 -4.510
Ca Ga Si H O
4 4 2 4 16
direct
0.029 0.534 0.778 Ca
0.466 0.245 0.495 Ca
0.749 0.971 0.505 Ca
0.755 0.251 0.222 Ca
0.249 0.495 0.243 Ga
0.253 0.006 0.757 Ga
0.505 0.747 0.753 Ga
0.994 0.751 0.247 Ga
0.000 0.000 0.000 Si
0.500 0.500 0.000 Si
0.100 0.235 0.512 H
0.413 0.900 0.136 H
0.723 0.587 0.488 H
0.765 0.277 0.864 H
0.010 0.512 0.201 O
0.018 0.978 0.790 O
0.022 0.813 0.041 O
0.187 0.228 0.210 O
0.191 0.990 0.502 O
0.309 0.520 0.036 O
0.311 0.809 0.799 O
0.480 0.515 0.789 O
0.485 0.274 0.964 O
0.488 0.689 0.498 O
0.523 0.019 0.273 O
0.726 0.691 0.211 O
0.746 0.250 0.727 O
0.750 0.477 0.496 O
0.772 0.982 0.959 O
0.981 0.254 0.504 O
```

***

This entry pairs a crystal structure of CaSb2P2O9 with its theoretical powder diffraction line list. Radiation: copper Kα. Structure: a PBE-relaxed structure.

Largest 6 diffraction maxima, in order of falling intensity, 15° ≤ 2θ ≤ 90°:
- 28.96 deg, d = 3.084 Å, I = 100
- 30.96 deg, d = 2.889 Å, I = 70
- 25.55 deg, d = 3.486 Å, I = 60
- 20.96 deg, d = 4.239 Å, I = 41
- 16.73 deg, d = 5.299 Å, I = 35
- 24.91 deg, d = 3.574 Å, I = 28

```
CaSb2P2O9
1.0
15.791 0.000 0.000
0.000 7.002 0.000
0.000 0.000 7.149
Ca Sb P O
4 8 8 36
direct
0.221 0.250 0.098 Ca
0.279 0.750 0.598 Ca
0.721 0.250 0.402 Ca
0.779 0.750 0.902 Ca
0.000 0.000 0.000 Sb
0.000 0.500 0.000 Sb
0.117 0.250 0.607 Sb
0.383 0.750 0.107 Sb
0.500 0.000 0.500 Sb
0.500 0.500 0.500 Sb
0.617 0.250 0.893 Sb
0.883 0.750 0.393 Sb
0.080 0.750 0.607 P
0.192 0.750 0.098 P
0.308 0.250 0.598 P
0.420 0.250 0.107 P
0.580 0.750 0.893 P
0.692 0.750 0.402 P
0.808 0.250 0.902 P
0.920 0.250 0.393 P
0.016 0.750 0.782 O
0.028 0.750 0.426 O
0.076 0.250 0.880 O
0.138 0.563 0.112 O
0.138 0.937 0.112 O
0.139 0.574 0.624 O
0.139 0.926 0.624 O
0.242 0.250 0.764 O
0.246 0.750 0.919 O
0.254 0.250 0.419 O
0.258 0.750 0.264 O
0.361 0.074 0.124 O
0.361 0.426 0.124 O
0.362 0.063 0.612 O
0.362 0.437 0.612 O
0.424 0.750 0.380 O
0.472 0.250 0.926 O
0.484 0.250 0.282 O
0.516 0.750 0.718 O
0.528 0.750 0.074 O
0.576 0.250 0.620 O
0.638 0.563 0.388 O
0.638 0.937 0.388 O
0.639 0.574 0.876 O
0.639 0.926 0.876 O
0.742 0.250 0.736 O
0.746 0.750 0.581 O
0.754 0.250 0.081 O
0.758 0.750 0.236 O
0.861 0.074 0.376 O
0.861 0.426 0.376 O
0.862 0.063 0.888 O
0.862 0.437 0.888 O
0.924 0.750 0.120 O
0.972 0.250 0.574 O
0.984 0.250 0.218 O
```

***

This entry pairs a crystal structure of Ba6CaEu2Cu6Hg3O21 with its theoretical powder diffraction line list. Radiation: copper Kα. Structure: a PBE-relaxed structure.

Largest 6 diffraction maxima, in order of falling intensity, 15° ≤ 2θ ≤ 90°:
- 31.22 deg, d = 2.865 Å, I = 100
- 32.83 deg, d = 2.728 Å, I = 64
- 57.60 deg, d = 1.600 Å, I = 36
- 47.11 deg, d = 1.929 Å, I = 32
- 26.97 deg, d = 3.306 Å, I = 28
- 34.96 deg, d = 2.566 Å, I = 14

```
Ba6CaEu2Cu6Hg3O21
1.0
8.185 -2.728 0.000
8.185 2.728 0.000
-5.466 0.000 12.832
Ba Ca Eu Cu Hg O
6 1 2 6 3 21
direct
0.067 0.067 0.203 Ba
0.266 0.266 0.797 Ba
0.402 0.402 0.205 Ba
0.598 0.598 0.795 Ba
0.734 0.734 0.203 Ba
0.933 0.933 0.797 Ba
0.500 0.500 0.500 Ca
0.165 0.165 0.500 Eu
0.835 0.835 0.500 Eu
0.044 0.044 0.633 Cu
0.290 0.290 0.368 Cu
0.378 0.378 0.632 Cu
0.622 0.622 0.368 Cu
0.710 0.710 0.632 Cu
0.956 0.956 0.367 Cu
0.167 0.167 0.000 Hg
0.500 0.500 0.000 Hg
0.833 0.833 0.000 Hg
0.000 0.000 0.000 O
0.039 0.539 0.617 O
0.113 0.113 0.837 O
0.125 0.628 0.381 O
0.204 0.707 0.619 O
0.221 0.221 0.164 O
0.293 0.796 0.381 O
0.335 0.335 0.001 O
0.372 0.875 0.619 O
0.445 0.445 0.837 O
0.461 0.961 0.383 O
0.539 0.039 0.617 O
0.555 0.555 0.163 O
0.628 0.125 0.381 O
0.665 0.665 0.999 O
0.707 0.204 0.619 O
0.779 0.779 0.836 O
0.796 0.293 0.381 O
0.875 0.372 0.619 O
0.887 0.887 0.163 O
0.961 0.461 0.383 O
```

***

This entry pairs a crystal structure of Mg4SnN4 with its theoretical powder diffraction line list. Radiation: copper Kα. Structure: a PBE-relaxed structure.

Largest 6 diffraction maxima, in order of falling intensity, 15° ≤ 2θ ≤ 90°:
- 34.22 deg, d = 2.620 Å, I = 100
- 20.40 deg, d = 4.354 Å, I = 90
- 19.94 deg, d = 4.453 Å, I = 65
- 40.35 deg, d = 2.235 Å, I = 59
- 17.80 deg, d = 4.984 Å, I = 57
- 40.10 deg, d = 2.249 Å, I = 56

```
Mg4SnN4
1.0
5.589 0.000 0.000
2.072 5.238 0.000
1.026 2.556 7.970
Mg Sn N
8 2 8
direct
0.224 0.332 0.282 Mg
0.236 0.560 0.927 Mg
0.240 0.991 0.080 Mg
0.252 0.744 0.501 Mg
0.748 0.256 0.499 Mg
0.760 0.009 0.920 Mg
0.764 0.440 0.073 Mg
0.776 0.668 0.718 Mg
0.229 0.117 0.716 Sn
0.771 0.883 0.284 Sn
0.004 0.090 0.304 N
0.010 0.314 0.885 N
0.346 0.341 0.500 N
0.496 0.799 0.898 N
0.504 0.201 0.102 N
0.654 0.659 0.500 N
0.990 0.686 0.115 N
0.996 0.910 0.696 N
```

***

This entry pairs a crystal structure of ZrCrAgS4 with its theoretical powder diffraction line list. Radiation: copper Kα. Structure: a PBE-relaxed structure.

Largest 6 diffraction maxima, in order of falling intensity, 15° ≤ 2θ ≤ 90°:
- 23.95 deg, d = 3.715 Å, I = 100
- 28.04 deg, d = 3.182 Å, I = 77
- 49.00 deg, d = 1.859 Å, I = 75
- 28.30 deg, d = 3.153 Å, I = 58
- 28.21 deg, d = 3.164 Å, I = 53
- 49.13 deg, d = 1.854 Å, I = 49

```
ZrCrAgS4
1.0
5.268 -5.223 0.000
5.268 5.223 0.000
-5.220 0.000 5.295
Zr Cr Ag S
2 2 2 8
direct
0.244 0.756 0.500 Zr
0.756 0.244 0.000 Zr
0.755 0.759 0.012 Cr
0.759 0.755 0.512 Cr
0.148 0.382 0.767 Ag
0.382 0.148 0.267 Ag
0.517 0.988 0.990 S
0.521 0.986 0.518 S
0.538 0.553 0.551 S
0.553 0.538 0.051 S
0.971 0.973 0.976 S
0.973 0.971 0.476 S
0.986 0.521 0.018 S
0.988 0.517 0.490 S
```